1.
Structure and simulated powder XRD pattern of CsCa3Se4O12 (DFT lattice parameters and positions (PBE); Cu Kα X-rays).
Neutral-atom scattering factors, no anomalous dispersion.

Most intense lines, 2θ from 10° to 90°, in order of falling intensity:
Position (°2θ)	d [Å]	I/Imax
26.04	3.422	100
29.47	3.031	31
24.51	3.632	22
43.67	2.073	21
32.31	2.771	18
25.45	3.499	14
29.99	2.980	14
54.59	1.681	13
33.25	2.694	12
50.05	1.823	12

Structure:
Unit cell a=7.6178 b=7.6178 c=7.6178 alpha=105.43 beta=105.43 gamma=105.43
Positions (direct):
Cs (0.0000, 0.0000, 0.0000)
Ca (0.0000, 0.5578, 0.4422)
Ca (0.4422, 0.0000, 0.5578)
Ca (0.5578, 0.4422, 0.0000)
Se (0.0522, 0.5000, 0.9478)
Se (0.5000, 0.5000, 0.5000)
Se (0.5000, 0.9478, 0.0522)
Se (0.9478, 0.0522, 0.5000)
O (0.0365, 0.6081, 0.7720)
O (0.1057, 0.8943, 0.5000)
O (0.2280, 0.3919, 0.9635)
O (0.3508, 0.6492, 0.5000)
O (0.3919, 0.9635, 0.2280)
O (0.5000, 0.1057, 0.8943)
O (0.5000, 0.3508, 0.6492)
O (0.6081, 0.7720, 0.0365)
O (0.6492, 0.5000, 0.3508)
O (0.7720, 0.0365, 0.6081)
O (0.8943, 0.5000, 0.1057)
O (0.9635, 0.2280, 0.3919)

=====

2.
Structure and simulated powder XRD pattern of CsCaSnO3 (DFT lattice parameters and positions (PBE); Cu Kα X-rays).
Neutral-atom scattering factors, no anomalous dispersion.

Most intense lines, 2θ from 10° to 90°, in order of falling intensity:
Position (°2θ)	d [Å]	I/Imax
27.72	3.218	100
31.08	2.877	70
25.47	3.497	69
26.97	3.306	49
17.51	5.065	40
22.34	3.979	39
29.87	2.991	33
26.40	3.377	27
43.46	2.082	27
38.62	2.331	25

Structure:
Unit cell a=6.4394 b=4.1644 c=10.1296 alpha=90.00 beta=90.08 gamma=90.00
Positions (direct):
Cs (0.2292, 0.2500, 0.3509)
Cs (0.7708, 0.7500, 0.6491)
Ca (0.2134, 0.7500, 0.0032)
Ca (0.7866, 0.2500, 0.9968)
Sn (0.2929, 0.2500, 0.7458)
Sn (0.7071, 0.7500, 0.2542)
O (0.1250, 0.2500, 0.9203)
O (0.2496, 0.7500, 0.6953)
O (0.4192, 0.7500, 0.1761)
O (0.5808, 0.2500, 0.8239)
O (0.7504, 0.2500, 0.3047)
O (0.8750, 0.7500, 0.0797)